No. 1
Starting from a PBE-relaxed structure, the X-ray diffraction stick pattern of Sm3Ga2 was calculated for Cu Ka.

Atomic structure:
```
Sm3Ga2
1.0
-5.9242 5.9242 7.6212
5.9242 -5.9242 7.6212
5.9242 5.9242 -7.6212
Sm Ga
24 16
direct
0.0663 0.9326 0.2675
0.0674 0.3349 0.1336
0.1483 0.6483 0.5000
0.1651 0.4326 0.8664
0.1682 0.3318 0.5000
0.2012 0.9337 0.8664
0.2988 0.1651 0.7325
0.3318 0.8318 0.1636
0.3349 0.2012 0.2675
0.3517 0.8517 0.5000
0.4326 0.5663 0.2675
0.4337 0.7012 0.8664
0.5663 0.2988 0.1336
0.5674 0.4337 0.7325
0.6483 0.1483 0.5000
0.6651 0.7988 0.7325
0.6682 0.1682 0.8364
0.7012 0.8349 0.2675
0.7988 0.0663 0.1336
0.8318 0.6682 0.5000
0.8349 0.5674 0.1336
0.8517 0.3517 0.5000
0.9326 0.6651 0.8664
0.9337 0.0674 0.7325
0.0000 0.0000 0.0000
0.0235 0.8816 0.5000
0.1159 0.6159 0.7318
0.1184 0.6184 0.1419
0.2500 0.2500 0.0000
0.3816 0.5235 0.5000
0.3841 0.1159 0.5000
0.4765 0.9765 0.8581
0.5000 0.5000 0.0000
0.5235 0.0235 0.1419
0.6159 0.8841 0.5000
0.6184 0.4765 0.5000
0.7500 0.7500 0.0000
0.8816 0.3816 0.8581
0.8841 0.3841 0.2682
0.9765 0.1184 0.5000
```

Main lines, by angle (10 to 80 degrees two-theta):
2θ = 31.7°, I 100; 2θ = 32.0°, I 29; 2θ = 32.4°, I 38; 2θ = 33.5°, I 95; 2θ = 33.9°, I 42; 2θ = 35.9°, I 28; 2θ = 52.7°, I 16; 2θ = 54.6°, I 15; 2θ = 54.8°, I 16; 2θ = 60.3°, I 18

---

No. 2
Starting from a PBE-relaxed structure, the X-ray diffraction stick pattern of Dy2AgSn6 was calculated for Cu Ka.

Atomic structure:
```
Dy2AgSn6
1.0
2.2269 -11.5152 0.0000
2.2269 11.5152 0.0000
0.0000 0.0000 4.5384
Dy Ag Sn
2 1 6
direct
0.1824 0.8176 0.0000
0.8176 0.1824 0.0000
0.5000 0.5000 0.5000
0.0805 0.9195 0.5000
0.2946 0.7054 0.5000
0.4218 0.5782 0.0000
0.5782 0.4218 0.0000
0.7054 0.2946 0.5000
0.9195 0.0805 0.5000
```

Main lines, by angle (10 to 80 degrees two-theta):
2θ = 23.1°, I 9; 2θ = 30.4°, I 23; 2θ = 31.1°, I 14; 2θ = 34.3°, I 100; 2θ = 39.7°, I 22; 2θ = 40.5°, I 21; 2θ = 58.0°, I 15; 2θ = 59.8°, I 13; 2θ = 68.6°, I 14; 2θ = 69.7°, I 13

---

No. 3
Starting from a PBE-relaxed structure, the X-ray diffraction stick pattern of Dy2HoCo2Ni7 was calculated for Cu Ka.

Atomic structure:
```
Dy2HoCo2Ni7
1.0
2.4651 1.4232 8.1048
-2.4651 1.4232 8.1048
0.0000 -2.8464 8.1048
Dy Ho Co Ni
2 1 2 7
direct
0.1386 0.1386 0.1386
0.8614 0.8614 0.8614
0.0000 0.0000 0.0000
0.3329 0.3329 0.3329
0.6671 0.6671 0.6671
0.0805 0.5818 0.5818
0.4182 0.4182 0.9195
0.4182 0.9195 0.4182
0.5000 0.5000 0.5000
0.5818 0.0805 0.5818
0.5818 0.5818 0.0805
0.9195 0.4182 0.4182
```

Main lines, by angle (10 to 80 degrees two-theta):
2θ = 33.2°, I 52; 2θ = 36.3°, I 42; 2θ = 36.4°, I 51; 2θ = 42.5°, I 38; 2θ = 43.0°, I 100; 2θ = 46.5°, I 14; 2θ = 63.6°, I 15; 2θ = 65.5°, I 15; 2θ = 70.1°, I 20; 2θ = 77.4°, I 20

---

No. 4
Starting from a PBE-relaxed structure, the X-ray diffraction stick pattern of CsAu3SeS was calculated for Cu Ka.

Atomic structure:
```
CsAu3SeS
1.0
6.5204 0.0000 0.0000
-3.2602 5.6468 0.0000
0.0000 0.0000 5.4660
Cs Au Se S
1 3 1 1
direct
0.0000 0.0000 0.0000
0.0057 0.5028 0.5043
0.4972 0.5028 0.5043
0.4972 0.9943 0.5043
0.6667 0.3333 0.2205
0.3333 0.6667 0.7685
```

Main lines, by angle (10 to 80 degrees two-theta):
2θ = 16.2°, I 61; 2θ = 22.6°, I 100; 2θ = 31.7°, I 86; 2θ = 32.0°, I 46; 2θ = 32.8°, I 23; 2θ = 35.8°, I 66; 2θ = 45.6°, I 31; 2θ = 46.2°, I 83; 2θ = 56.4°, I 26; 2θ = 75.9°, I 19

---

No. 5
Starting from a PBE-relaxed structure, the X-ray diffraction stick pattern of AgB2 was calculated for Cu Ka.

Atomic structure:
```
AgB2
1.0
3.0156 0.0000 0.0000
-1.5078 2.6115 0.0000
0.0000 0.0000 4.0791
Ag B
1 2
direct
0.0000 0.0000 0.0000
0.3333 0.6667 0.5000
0.6667 0.3333 0.5000
```

Main lines, by angle (10 to 80 degrees two-theta):
2θ = 21.8°, I 53; 2θ = 34.3°, I 63; 2θ = 41.0°, I 100; 2θ = 44.4°, I 15; 2θ = 57.3°, I 28; 2θ = 61.5°, I 16; 2θ = 66.1°, I 15; 2θ = 76.6°, I 15; 2θ = 79.0°, I 15; 2θ = 79.5°, I 13

---

No. 6
Starting from a PBE-relaxed structure, the X-ray diffraction stick pattern of KPd3Pb5 was calculated for Cu Ka.

Atomic structure:
```
KPd3Pb5
1.0
5.8200 0.0000 0.0000
-2.9100 5.0402 0.0000
0.0000 0.0000 8.4376
K Pd Pb
1 3 5
direct
0.0000 0.0000 0.0000
0.0000 0.5000 0.5000
0.5000 0.0000 0.5000
0.5000 0.5000 0.5000
0.0000 0.0000 0.5000
0.3333 0.6667 0.2174
0.3333 0.6667 0.7826
0.6667 0.3333 0.2174
0.6667 0.3333 0.7826
```

Main lines, by angle (10 to 80 degrees two-theta):
2θ = 10.5°, I 47; 2θ = 17.6°, I 31; 2θ = 27.6°, I 75; 2θ = 30.7°, I 100; 2θ = 31.8°, I 31; 2θ = 37.2°, I 43; 2θ = 37.5°, I 49; 2θ = 41.7°, I 86; 2θ = 52.7°, I 26; 2θ = 64.0°, I 27

---

No. 7
Starting from a PBE-relaxed structure, the X-ray diffraction stick pattern of Zr2Ta4In3C3 was calculated for Cu Ka.

Atomic structure:
```
Zr2Ta4In3C3
1.0
4.8365 -2.7902 0.0000
4.8365 2.7902 0.0000
-3.2549 0.0000 14.6875
Zr Ta In C
4 8 6 6
direct
0.0312 0.8685 0.5914
0.1315 0.9688 0.9086
0.8685 0.0312 0.0914
0.9688 0.1315 0.4086
0.1934 0.3543 0.0800
0.3004 0.4795 0.4199
0.3543 0.1934 0.5800
0.4795 0.3004 0.9199
0.5205 0.6996 0.0801
0.6457 0.8066 0.4200
0.6996 0.5205 0.5801
0.8066 0.6457 0.9200
0.0841 0.2747 0.7515
0.2747 0.0841 0.2515
0.4407 0.5593 0.7500
0.5593 0.4407 0.2500
0.7253 0.9159 0.7485
0.9159 0.7253 0.2485
0.0000 0.5000 0.5000
0.1711 0.6576 0.0000
0.3424 0.8289 0.5000
0.5000 0.0000 0.0000
0.6576 0.1711 0.5000
0.8289 0.3424 0.0000
```

Main lines, by angle (10 to 80 degrees two-theta):
2θ = 32.1°, I 22; 2θ = 36.7°, I 22; 2θ = 37.1°, I 100; 2θ = 49.5°, I 16; 2θ = 57.2°, I 19; 2θ = 66.3°, I 12; 2θ = 66.4°, I 6; 2θ = 69.8°, I 10; 2θ = 69.9°, I 9; 2θ = 70.1°, I 15

---

No. 8
Starting from a PBE-relaxed structure, the X-ray diffraction stick pattern of ZrReAsO was calculated for Cu Ka.

Atomic structure:
```
ZrReAsO
1.0
4.1108 0.0000 0.0000
0.0000 4.1108 0.0000
0.0000 0.0000 6.9854
Zr Re As O
2 2 2 2
direct
0.2500 0.2500 0.1297
0.7500 0.7500 0.8703
0.2500 0.7500 0.5000
0.7500 0.2500 0.5000
0.2500 0.2500 0.6974
0.7500 0.7500 0.3026
0.2500 0.7500 0.0000
0.7500 0.2500 0.0000
```

Main lines, by angle (10 to 80 degrees two-theta):
2θ = 12.7°, I 89; 2θ = 25.5°, I 21; 2θ = 33.4°, I 100; 2θ = 33.7°, I 46; 2θ = 40.4°, I 100; 2θ = 44.1°, I 75; 2θ = 62.0°, I 29; 2θ = 64.1°, I 24; 2θ = 74.2°, I 21; 2θ = 78.5°, I 28

---

No. 9
Starting from a PBE-relaxed structure, the X-ray diffraction stick pattern of Cu8Hg was calculated for Cu Ka.

Atomic structure:
```
Cu8Hg
1.0
4.0198 -1.7679 0.0000
4.0198 1.7679 0.0000
-0.0182 0.0000 26.7716
Cu Hg
16 2
direct
0.0491 0.0491 0.1989
0.0504 0.0504 0.8928
0.1490 0.1490 0.9845
0.2503 0.2503 0.0755
0.2515 0.2515 0.7715
0.3475 0.3475 0.1675
0.3506 0.3506 0.8626
0.4503 0.4503 0.9541
0.5497 0.5497 0.0459
0.6494 0.6494 0.1374
0.6525 0.6525 0.8325
0.7485 0.7485 0.2285
0.7497 0.7497 0.9245
0.8510 0.8510 0.0155
0.9496 0.9496 0.1072
0.9509 0.9509 0.8011
0.4525 0.4525 0.2768
0.5475 0.5475 0.7232
```

Main lines, by angle (10 to 80 degrees two-theta):
2θ = 13.2°, I 34; 2θ = 32.3°, I 35; 2θ = 36.4°, I 33; 2θ = 41.2°, I 84; 2θ = 43.6°, I 100; 2θ = 43.9°, I 64; 2θ = 44.5°, I 37; 2θ = 49.8°, I 56; 2θ = 51.7°, I 31; 2θ = 74.6°, I 31

---

No. 10
Starting from a PBE-relaxed structure, the X-ray diffraction stick pattern of YEr2Fe2Ni7 was calculated for Cu Ka.

Atomic structure:
```
YEr2Fe2Ni7
1.0
2.4922 1.4389 8.0418
-2.4922 1.4389 8.0418
0.0000 -2.8777 8.0418
Y Er Fe Ni
1 2 2 7
direct
0.0000 0.0000 0.0000
0.1391 0.1391 0.1391
0.8609 0.8609 0.8609
0.3328 0.3328 0.3328
0.6672 0.6672 0.6672
0.0819 0.5820 0.5820
0.4180 0.4180 0.9181
0.4180 0.9181 0.4180
0.5000 0.5000 0.5000
0.5820 0.0819 0.5820
0.5820 0.5820 0.0819
0.9181 0.4180 0.4180
```

Main lines, by angle (10 to 80 degrees two-theta):
2θ = 11.0°, I 21; 2θ = 33.3°, I 52; 2θ = 36.0°, I 56; 2θ = 36.3°, I 42; 2θ = 42.0°, I 43; 2θ = 42.7°, I 100; 2θ = 46.1°, I 28; 2θ = 46.4°, I 26; 2θ = 69.4°, I 22; 2θ = 76.4°, I 25

---

No. 11
Starting from a PBE-relaxed structure, the X-ray diffraction stick pattern of RbTmSO was calculated for Cu Ka.

Atomic structure:
```
RbTmSO
1.0
7.8222 0.0000 0.0000
0.0000 7.2246 0.0000
-1.5655 0.0000 6.2401
Rb Tm S O
4 4 4 4
direct
0.0812 0.2410 0.0067
0.0812 0.2590 0.5067
0.9188 0.7410 0.4933
0.9188 0.7590 0.9933
0.4787 0.6268 0.2744
0.4787 0.8732 0.7744
0.5213 0.1268 0.2256
0.5213 0.3732 0.7256
0.2651 0.5952 0.8529
0.2651 0.9048 0.3529
0.7349 0.0952 0.6471
0.7349 0.4048 0.1471
0.3979 0.1450 0.8775
0.3979 0.3550 0.3775
0.6021 0.6450 0.6225
0.6021 0.8550 0.1225
```

Main lines, by angle (10 to 80 degrees two-theta):
2θ = 11.7°, I 100; 2θ = 23.5°, I 56; 2θ = 28.2°, I 40; 2θ = 28.6°, I 43; 2θ = 29.5°, I 64; 2θ = 32.3°, I 25; 2θ = 33.6°, I 55; 2θ = 34.9°, I 42; 2θ = 39.5°, I 30; 2θ = 52.0°, I 28

---

No. 12
Starting from a PBE-relaxed structure, the X-ray diffraction stick pattern of As2PPd3 was calculated for Cu Ka.

Atomic structure:
```
As2PPd3
1.0
3.1117 0.0000 0.0000
-1.5558 2.6948 0.0000
0.0000 0.0000 11.5610
As P Pd
2 1 3
direct
0.3333 0.6667 0.3305
0.6667 0.3333 0.6695
0.0000 0.0000 0.0000
0.0000 0.0000 0.5000
0.3333 0.6667 0.8521
0.6667 0.3333 0.1479
```

Main lines, by angle (10 to 80 degrees two-theta):
2θ = 23.1°, I 7; 2θ = 34.2°, I 11; 2θ = 36.8°, I 100; 2θ = 46.1°, I 48; 2θ = 47.2°, I 13; 2θ = 59.4°, I 24; 2θ = 72.0°, I 13; 2θ = 74.5°, I 9; 2θ = 78.3°, I 10; 2θ = 79.1°, I 17

---

No. 13
Starting from a PBE-relaxed structure, the X-ray diffraction stick pattern of Sb4Pt was calculated for Cu Ka.

Atomic structure:
```
Sb4Pt
1.0
3.1327 -6.4190 0.0000
3.1327 6.4190 0.0000
0.0000 0.0000 6.9059
Sb Pt
8 2
direct
0.0028 0.3656 0.1150
0.2401 0.3045 0.7028
0.3045 0.2401 0.2972
0.3656 0.0028 0.8850
0.6344 0.9972 0.3850
0.6955 0.7599 0.7972
0.7599 0.6955 0.2028
0.9972 0.6344 0.6150
0.1958 0.8042 0.2500
0.8042 0.1958 0.7500
```

Main lines, by angle (10 to 80 degrees two-theta):
2θ = 20.4°, I 30; 2θ = 25.2°, I 56; 2θ = 25.8°, I 43; 2θ = 28.4°, I 59; 2θ = 30.4°, I 46; 2θ = 31.8°, I 25; 2θ = 41.4°, I 48; 2θ = 42.4°, I 100; 2θ = 45.9°, I 32; 2θ = 58.9°, I 34